(1)
For Zr3NiGe2, a cell relaxed with PBE gives the simulated X-ray powder pattern in this record (CuKα).

The 8 most intense peaks (10° ≤ 2θ ≤ 90°), by angle:
two_theta, Rel. int., hkl
32.95, 41, 2 1 2
34.37, 54, 0 1 3
35.27, 35, 1 0 4
37.95, 100, 3 1 2
41.39, 29, 4 1 1
46.21, 48, 0 2 0
50.36, 26, 3 0 5
70.75, 29, 3 2 5

Atomic structure:
```
data_Zr3NiGe2
_chemical_formula_sum 'Zr12 Ni4 Ge8'
_cell_length_a 10.835
_cell_length_b 3.929
_cell_length_c 10.472
_cell_angle_alpha 90.00
_cell_angle_beta 90.00
_cell_angle_gamma 90.00
_symmetry_space_group_name_H-M 'P n m a'
_symmetry_Int_Tables_number 62
_symmetry_space_group_name_Hall '-P 2ac 2n'
loop_
_atom_site_label
_atom_site_fract_x
_atom_site_fract_y
_atom_site_fract_z
_atom_site_occupancy
Zr1 0.045 0.250 0.122 1
Zr2 0.122 0.750 0.567 1
Zr3 0.209 0.250 0.810 1
Ni1 0.138 0.250 0.362 1
Ge1 0.020 0.750 0.314 1
Ge2 0.191 0.750 0.011 1
```

---

(2)
For Hg2RuCl, a cell relaxed with PBE gives the simulated X-ray powder pattern in this record (CuKα).

The 8 most intense peaks (10° ≤ 2θ ≤ 90°), by angle:
two_theta, Rel. int., hkl
11.16, 26, 0 0 1
22.42, 17, 0 0 2
27.81, 24, 1 1 0
36.01, 100, 1 1 2
39.64, 21, 0 2 0
39.83, 21, 2 0 0
44.41, 15, 1 1 3
69.57, 15, 1 3 2

Atomic structure:
```
data_Hg2RuCl
_chemical_formula_sum 'Hg4 Ru2 Cl2'
_cell_length_a 4.526
_cell_length_b 4.547
_cell_length_c 7.930
_cell_angle_alpha 90.00
_cell_angle_beta 90.00
_cell_angle_gamma 90.00
_symmetry_space_group_name_H-M 'C m m m'
_symmetry_Int_Tables_number 65
_symmetry_space_group_name_Hall '-C 2 2'
loop_
_atom_site_label
_atom_site_fract_x
_atom_site_fract_y
_atom_site_fract_z
_atom_site_occupancy
Hg1 0.000 0.000 0.223 1
Ru1 0.000 0.500 0.000 1
Cl1 0.000 0.500 0.500 1
```

---

(3)
For U2PdPt6, a cell relaxed with PBE gives the simulated X-ray powder pattern in this record (CuKα).

The 8 most intense peaks (10° ≤ 2θ ≤ 90°), by angle:
two_theta, Rel. int., hkl
37.42, 100, 3 1 -2
37.96, 98, 3 1 1
43.42, 33, 0 0 3
43.86, 33, 0 2 0
44.10, 31, 6 0 -1
63.43, 22, 0 2 3
63.95, 21, 6 2 -1
76.35, 38, 3 1 4

Atomic structure:
```
data_U2PdPt6
_chemical_formula_sum 'U4 Pd2 Pt12'
_cell_length_a 12.324
_cell_length_b 4.128
_cell_length_c 6.622
_cell_angle_alpha 90.00
_cell_angle_beta 109.25
_cell_angle_gamma 90.00
_symmetry_space_group_name_H-M 'C 1 2/m 1'
_symmetry_Int_Tables_number 12
_symmetry_space_group_name_Hall '-C 2y'
loop_
_atom_site_label
_atom_site_fract_x
_atom_site_fract_y
_atom_site_fract_z
_atom_site_occupancy
U1 0.060 0.000 0.326 1
Pd1 0.000 0.500 0.000 1
Pt1 0.103 0.500 0.672 1
Pt2 0.168 0.000 0.009 1
Pt3 0.223 0.500 0.333 1
```

---

(4)
For Nd2FeSiC, a cell relaxed with PBE gives the simulated X-ray powder pattern in this record (CuKα).

The 8 most intense peaks (10° ≤ 2θ ≤ 90°), by angle:
two_theta, Rel. int., hkl
26.86, 89, 1 1 0
30.45, 30, 2 0 0
30.79, 36, 1 0 2
31.05, 50, 2 0 -2
31.42, 100, 1 1 -2
38.44, 17, 2 1 -2
38.85, 23, 1 1 -3
45.06, 27, 0 2 0

Atomic structure:
```
data_Nd2FeSiC
_chemical_formula_sum 'Nd4 Fe2 Si2 C2'
_cell_length_a 6.234
_cell_length_b 4.024
_cell_length_c 8.580
_cell_angle_alpha 90.00
_cell_angle_beta 109.65
_cell_angle_gamma 90.00
_symmetry_space_group_name_H-M 'P 1 21/m 1'
_symmetry_Int_Tables_number 11
_symmetry_space_group_name_Hall '-P 2yb'
loop_
_atom_site_label
_atom_site_fract_x
_atom_site_fract_y
_atom_site_fract_z
_atom_site_occupancy
Nd1 0.213 0.250 0.392 1
Nd2 0.231 0.250 0.968 1
Fe1 0.496 0.750 0.253 1
Si1 0.325 0.750 0.701 1
C1 0.201 0.750 0.177 1
```

---

(5)
For Te2Ir, a cell relaxed with PBE gives the simulated X-ray powder pattern in this record (CuKα).

The 8 most intense peaks (10° ≤ 2θ ≤ 90°), by angle:
two_theta, Rel. int., hkl
17.56, 67, 1 0 1
28.21, 79, 1 1 1
30.48, 80, 2 1 1
31.11, 63, 4 0 1
42.14, 100, 2 1 2
43.47, 31, 5 1 1
44.66, 38, 0 2 0
46.01, 58, 6 1 0

Atomic structure:
```
data_Te2Ir
_chemical_formula_sum 'Te8 Ir4'
_cell_length_a 13.545
_cell_length_b 4.058
_cell_length_c 5.444
_cell_angle_alpha 90.00
_cell_angle_beta 90.00
_cell_angle_gamma 90.00
_symmetry_space_group_name_H-M 'P n m a'
_symmetry_Int_Tables_number 62
_symmetry_space_group_name_Hall '-P 2ac 2n'
loop_
_atom_site_label
_atom_site_fract_x
_atom_site_fract_y
_atom_site_fract_z
_atom_site_occupancy
Te1 0.050 0.250 0.234 1
Te2 0.192 0.250 0.705 1
Ir1 0.134 0.750 0.984 1
```

---

(6)
For Ac2CdSn4Pt3, a cell relaxed with PBE gives the simulated X-ray powder pattern in this record (CuKα).

The 8 most intense peaks (10° ≤ 2θ ≤ 90°), by angle:
two_theta, Rel. int., hkl
30.57, 71, 1 0 3
31.35, 100, 1 1 2
38.43, 72, 2 0 0
44.75, 32, 1 0 5
49.88, 38, 2 1 3
55.48, 25, 2 2 0
60.42, 26, 2 1 5
65.12, 25, 3 1 2

Atomic structure:
```
data_Ac2CdSn4Pt3
_chemical_formula_sum 'Ac2 Cd1 Sn4 Pt3'
_cell_length_a 4.685
_cell_length_b 4.685
_cell_length_c 11.230
_cell_angle_alpha 90.00
_cell_angle_beta 90.00
_cell_angle_gamma 90.00
_symmetry_space_group_name_H-M 'P -4 m 2'
_symmetry_Int_Tables_number 115
_symmetry_space_group_name_Hall 'P -4 -2'
loop_
_atom_site_label
_atom_site_fract_x
_atom_site_fract_y
_atom_site_fract_z
_atom_site_occupancy
Ac1 0.000 0.500 0.250 1
Cd1 0.000 0.000 0.500 1
Sn1 0.000 0.000 0.000 1
Sn2 0.000 0.500 0.640 1
Sn3 0.500 0.500 0.000 1
Pt1 0.000 0.500 0.876 1
Pt2 0.500 0.500 0.500 1
```

---

(7)
For Dy3BTe2, a cell relaxed with PBE gives the simulated X-ray powder pattern in this record (CuKα).

The 8 most intense peaks (10° ≤ 2θ ≤ 90°), by angle:
two_theta, Rel. int., hkl
30.17, 100, 0 4 0
32.60, 9, 3 1 1
39.20, 12, 3 3 1
42.41, 9, 4 0 0
43.18, 43, 2 4 6
44.02, 11, 0 0 12
54.27, 12, 0 4 12
71.15, 12, 2 8 6

Atomic structure:
```
data_Dy3BTe2
_chemical_formula_sum 'Dy48 B16 Te32'
_cell_length_a 8.526
_cell_length_b 11.862
_cell_length_c 24.684
_cell_angle_alpha 90.00
_cell_angle_beta 90.00
_cell_angle_gamma 90.00
_symmetry_space_group_name_H-M 'F d d d'
_symmetry_Int_Tables_number 70
loop_
_symmetry_equiv_pos_as_xyz
'x,y,z'
'-x,-y,-z'
'-x+1/4,-y+1/4,z'
'x+1/4,y+1/4,-z'
'x,-y+1/4,-z+1/4'
'-x,y+1/4,z+1/4'
'-x+1/4,y,-z+1/4'
'x+1/4,-y,z+1/4'
'x,y+1/2,z+1/2'
'-x,-y+1/2,-z+1/2'
'-x+1/4,-y+3/4,z+1/2'
'x+1/4,y+3/4,-z+1/2'
'x,-y+3/4,-z+3/4'
'-x,y+3/4,z+3/4'
'-x+1/4,y+1/2,-z+3/4'
'x+1/4,-y+1/2,z+3/4'
'x+1/2,y,z+1/2'
'-x+1/2,-y,-z+1/2'
'-x+3/4,-y+1/4,z+1/2'
'x+3/4,y+1/4,-z+1/2'
'x+1/2,-y+1/4,-z+3/4'
'-x+1/2,y+1/4,z+3/4'
'-x+3/4,y,-z+3/4'
'x+3/4,-y,z+3/4'
'x+1/2,y+1/2,z'
'-x+1/2,-y+1/2,-z'
'-x+3/4,-y+3/4,z'
'x+3/4,y+3/4,-z'
'x+1/2,-y+3/4,-z+1/4'
'-x+1/2,y+3/4,z+1/4'
'-x+3/4,y+1/2,-z+1/4'
'x+3/4,-y+1/2,z+1/4'
loop_
_atom_site_label
_atom_site_fract_x
_atom_site_fract_y
_atom_site_fract_z
_atom_site_occupancy
Dy1 0.075 0.375 0.375 1
Dy2 0.102 0.354 0.217 1
B1 0.125 0.125 0.041 1
Te1 0.125 0.125 0.381 1
Te2 0.125 0.125 0.547 1
```

---

(8)
For Nd2Dy2Y5, a cell relaxed with PBE gives the simulated X-ray powder pattern in this record (CuKα).

The 8 most intense peaks (10° ≤ 2θ ≤ 90°), by angle:
two_theta, Rel. int., hkl
28.16, 77, 4 1 1
30.28, 100, 0 4 0
30.70, 17, 5 1 0
32.60, 46, 2 2 2
35.57, 45, 4 3 1
47.39, 30, 4 5 1
58.22, 19, 8 2 2
61.82, 16, 4 7 1

Atomic structure:
```
data_Nd2Dy2Y5
_chemical_formula_sum 'Nd8 Dy8 Y20'
_cell_length_a 15.024
_cell_length_b 11.800
_cell_length_c 6.822
_cell_angle_alpha 90.00
_cell_angle_beta 90.00
_cell_angle_gamma 90.00
_symmetry_space_group_name_H-M 'I m a 2'
_symmetry_Int_Tables_number 46
_symmetry_space_group_name_Hall 'I 2 -2a'
loop_
_atom_site_label
_atom_site_fract_x
_atom_site_fract_y
_atom_site_fract_z
_atom_site_occupancy
Nd1 0.128 0.004 0.000 1
Dy1 0.000 0.000 0.551 1
Dy2 0.250 0.512 0.947 1
Y1 0.053 0.243 0.353 1
Y2 0.143 0.736 0.175 1
Y3 0.250 0.250 0.151 1
```